Record 1
Starting from the GGA+U geometry in Alexandria, the powder diffraction line list of Rb3LiTbV2O8 was calculated for λ = 1.5418 Å (Cu Kα).

Main lines, sorted by position (2θ from 10° to 80°):
| 2θ (°) | Rel. int. | (hkl) |
| --- | --- | --- |
| 10.15 | 24.4 | 0 0 1 |
| 20.02 | 14.8 | 1 0 -1 |
| 26.50 | 100.0 | 1 1 2 |
| 27.48 | 38.7 | 0 1 -2 |
| 28.95 | 41.4 | 1 -1 0 |
| 29.35 | 43.4 | 1 2 0 |
| 31.97 | 36.0 | 2 1 0 |
| 42.88 | 15.2 | 2 2 -2 |

Cell and atoms:
Cell: 5.6013 6.1546 8.7617 Å, 84.42 89.88 63.76°
Space group P1 (No. 1)
Asymmetric unit:
Rb1 0.0000 0.0000 0.0000 x1
Rb2 0.2174 0.3843 0.5739 x1
Rb3 0.6028 0.7458 0.7617 x1
Li1 0.4588 0.0926 0.3219 x1
Tb1 0.6371 0.6119 0.2610 x1
V1 0.3061 0.3477 0.0475 x1
V2 0.9525 0.9783 0.4595 x1
O1 0.0226 0.9674 0.6551 x1
O2 0.0818 0.4390 0.1946 x1
O3 0.1339 0.3960 0.8771 x1
O4 0.2349 0.8873 0.3390 x1
O5 0.4963 0.5135 0.0378 x1
O6 0.5099 0.0326 0.0945 x1
O7 0.6593 0.2824 0.3889 x1
O8 0.7654 0.7940 0.4312 x1


Record 2
Starting from the GGA+U geometry in Alexandria, the powder diffraction line list of CeNiBi2O6 was calculated for λ = 1.5418 Å (Cu Kα).

Main lines, sorted by position (2θ from 10° to 80°):
| 2θ (°) | Rel. int. | (hkl) |
| --- | --- | --- |
| 29.19 | 25.1 | 0 2 0 |
| 30.64 | 100.0 | 1 1 1 |
| 31.70 | 23.3 | 2 0 -2 |
| 43.63 | 19.5 | 2 2 -2 |
| 44.14 | 12.1 | 0 0 4 |
| 52.68 | 15.8 | 1 3 -3 |
| 55.81 | 23.0 | 3 1 -5 |
| 63.81 | 11.5 | 2 2 -6 |

Cell and atoms:
Cell: 5.6447 6.1180 9.9549 Å, 90.00 124.47 90.00°
Space group P2_1/c (No. 14)
Asymmetric unit:
Ce1 0.0000 0.0000 0.0000 x2
Ni1 0.5000 0.0000 0.5000 x2
Bi1 0.2316 0.0459 0.7425 x4
O1 0.1246 0.1773 0.4461 x4
O2 0.2669 0.6895 0.4368 x4
O3 0.3917 0.0491 0.2609 x4